No. 1
Simulated X-ray powder pattern
Compound: Nd2BeGeRh6
Radiation: Cu Kα (weighted mean of Kα1 and Kα2)
Structure: a structure optimized by DFT (PBE)
Intensities are scaled so that the largest is 100.

Peak list (10 most intense, 2θ = 10–90°, in order of rising 2θ)
| 2θ (°) | intensity | h k l |
| --- | --- | --- |
| 28.4 | 10 | 2 0 0 |
| 34.9 | 100 | 2 0 2 |
| 40.5 | 70 | 2 2 0 |
| 44.4 | 5 | 3 0 1 |
| 58.7 | 38 | 2 2 4 |
| 58.7 | 8 | 4 0 0 |
| 70.1 | 36 | 4 2 2 |
| 73.7 | 7 | 0 4 4 |
| 73.8 | 7 | 4 0 4 |
| 87.7 | 7 | 4 4 0 |

Cell and atoms:
```
data_Nd2BeGeRh6
_space_group_name_H-M_alt 'I m m m'
_space_group_IT_number 71
_space_group_name_Hall '-I 2 2'
_cell_length_a 6.2888
_cell_length_b 6.3006
_cell_length_c 8.8988
_cell_angle_alpha 90.00
_cell_angle_beta 90.00
_cell_angle_gamma 90.00
loop_
_atom_site_label
_atom_site_fract_x
_atom_site_fract_y
_atom_site_fract_z
Nd1 0.0000 0.0000 0.2501
Be1 0.0000 0.5000 0.0000
Ge1 0.0000 0.5000 0.5000
Rh1 0.0000 0.5000 0.2372
Rh2 0.2372 0.2627 0.0000
```



No. 2
Simulated X-ray powder pattern
Compound: BeNi4Ge
Radiation: Cu Kα (weighted mean of Kα1 and Kα2)
Structure: a structure optimized by DFT (PBE)
Intensities are scaled so that the largest is 100.

Peak list (10 most intense, 2θ = 10–90°, in order of rising 2θ)
| 2θ (°) | intensity | h k l |
| --- | --- | --- |
| 12.2 | 20 | 0 1 0 |
| 29.4 | 9 | 1 0 1 |
| 31.4 | 21 | 0 2 1 |
| 38.6 | 23 | 1 2 1 |
| 39.4 | 24 | 0 0 2 |
| 44.6 | 41 | 2 0 0 |
| 47.3 | 43 | 1 1 2 |
| 48.1 | 100 | 1 3 1 |
| 61.0 | 12 | 2 0 2 |
| 84.8 | 18 | 3 3 1 |

Cell and atoms:
```
data_BeNi4Ge
_space_group_name_H-M_alt 'P m n a'
_space_group_IT_number 53
_cell_length_a 4.0597
_cell_length_b 7.2603
_cell_length_c 4.5785
_cell_angle_alpha 90.00
_cell_angle_beta 90.00
_cell_angle_gamma 90.00
loop_
_space_group_symop_operation_xyz
'x,y,z'
'-x,-y,-z'
'-x+1/2,-y,z+1/2'
'x+1/2,y,-z+1/2'
'x,-y,-z'
'-x,y,z'
'-x+1/2,y,-z+1/2'
'x+1/2,-y,z+1/2'
loop_
_atom_site_label
_atom_site_fract_x
_atom_site_fract_y
_atom_site_fract_z
Be1 0.0000 0.0000 0.0000
Ni1 0.0000 0.1578 0.4129
Ni2 0.0000 0.3160 0.9248
Ge1 0.0000 0.5000 0.5000
```